The following is a simulated powder diffraction line list of AcCe2As3. It was derived from a cell relaxed with PBE, using Cu Kα.
Kinematic intensities with the Lorentz-polarization factor, no thermal factor.

Crystal structure
Cell: 4.3297 6.1600 13.0183 Å, 90.00 90.00 90.00°
Space group Immm (No. 71)
Unique sites:
Ac: 0.0000 0.0000 0.0000 (multiplicity 2)
Ce: 0.0000 0.0000 0.3347 (multiplicity 4)
As: 0.0000 0.5000 0.0000 (multiplicity 2)
As: 0.0000 0.5000 0.3222 (multiplicity 4)

Principal peaks in the range 2θ = 10–80°, low angle first:
2θ/deg, I_rel
25.12, 38
28.99, 51
29.14, 100
41.58, 95
41.72, 19
49.28, 14
51.56, 41
60.40, 12
68.14, 18
68.37, 26
75.77, 13
76.06, 13



The following is a simulated powder diffraction line list of Er2ZnCu2Rh5. It was derived from a cell relaxed with PBE, using Cu Kα.
Kinematic intensities with the Lorentz-polarization factor, no thermal factor.

Crystal structure
Cell: 9.2040 9.2040 3.8114 Å, 90.00 90.00 90.00°
Space group P4/mbm (No. 127)
Unique sites:
Er: 0.1743 0.3257 0.0000 (multiplicity 4)
Zn: 0.0000 0.0000 0.0000 (multiplicity 2)
Cu: 0.1237 0.6237 0.0000 (multiplicity 4)
Rh: 0.0000 0.5000 0.5000 (multiplicity 2)
Rh: 0.0681 0.7984 0.5000 (multiplicity 8)

Principal peaks in the range 2θ = 10–80°, low angle first:
2θ/deg, I_rel
30.45, 12
32.00, 36
36.30, 20
38.93, 100
40.41, 51
41.63, 20
42.63, 34
44.00, 12
46.08, 11
47.72, 28
64.27, 26
65.16, 10



The following is a simulated powder diffraction line list of Pu2O3. It was derived from a cell relaxed with PBE, using Cu Kα.
Kinematic intensities with the Lorentz-polarization factor, no thermal factor.

Crystal structure
Cell: 3.8238 3.8238 5.4791 Å, 90.00 90.00 90.00°
Space group P-4m2 (No. 115)
Unique sites:
Pu: 0.0000 0.5000 0.2335 (multiplicity 2)
O: 0.0000 0.0000 0.0000 (multiplicity 1)
O: 0.0000 0.0000 0.5000 (multiplicity 1)
O: 0.5000 0.5000 0.0000 (multiplicity 1)

Principal peaks in the range 2θ = 10–80°, low angle first:
2θ/deg, I_rel
28.46, 100
32.69, 13
33.13, 27
47.23, 30
47.56, 15
55.78, 15
56.36, 31
58.91, 11
76.28, 12
76.78, 6
78.97, 5
79.22, 5



The following is a simulated powder diffraction line list of Cd2PbF7. It was derived from a cell relaxed with PBE, using Cu Kα.
Kinematic intensities with the Lorentz-polarization factor, no thermal factor.

Crystal structure
Cell: 3.8475 3.8475 17.7845 Å, 90.00 90.00 90.00°
Space group I4/mmm (No. 139)
Unique sites:
Cd: 0.0000 0.0000 0.1722 (multiplicity 4)
Pb: 0.0000 0.0000 0.5000 (multiplicity 2)
F: 0.0000 0.0000 0.0000 (multiplicity 2)
F: 0.0000 0.5000 0.0959 (multiplicity 8)
F: 0.0000 0.5000 0.2500 (multiplicity 4)

Principal peaks in the range 2θ = 10–80°, low angle first:
2θ/deg, I_rel
27.64, 100
30.15, 13
32.92, 21
38.81, 6
45.24, 47
47.25, 21
52.03, 17
55.62, 29
57.08, 10
69.05, 6
72.90, 12
75.91, 6



The following is a simulated powder diffraction line list of Pr4Bi3H. It was derived from a cell relaxed with PBE, using Cu Kα.
Kinematic intensities with the Lorentz-polarization factor, no thermal factor.

Crystal structure
Cell: 12.8041 6.4947 6.4803 Å, 90.00 90.00 90.00°
Space group Pmn2_1 (No. 31)
Unique sites:
Pr: 0.0000 0.1657 0.0000 (multiplicity 2)
Pr: 0.0000 0.7492 0.5693 (multiplicity 2)
Pr: 0.2466 0.2401 0.5006 (multiplicity 4)
Bi: 0.0000 0.2495 0.4999 (multiplicity 2)
Bi: 0.2487 0.2600 0.0017 (multiplicity 4)
H: 0.0000 0.8175 0.9214 (multiplicity 2)

Principal peaks in the range 2θ = 10–80°, low angle first:
2θ/deg, I_rel
15.31, 24
27.50, 100
27.87, 54
31.62, 16
37.48, 9
39.28, 35
39.55, 77
48.85, 38
64.21, 13
64.98, 18
71.39, 19
71.94, 12



The following is a simulated powder diffraction line list of La3SmIn2. It was derived from a cell relaxed with PBE, using Cu Kα.
Kinematic intensities with the Lorentz-polarization factor, no thermal factor.

Crystal structure
Cell: 19.0925 4.9952 8.8560 Å, 90.00 116.39 90.00°
Space group C2/m (No. 12)
Unique sites:
La: 0.0651 0.0000 0.1921 (multiplicity 4)
La: 0.1211 0.5000 0.0354 (multiplicity 4)
La: 0.2010 0.5000 0.4867 (multiplicity 4)
Sm: 0.1138 0.0000 0.6791 (multiplicity 4)
In: 0.0119 0.5000 0.3523 (multiplicity 4)
In: 0.2442 0.0000 0.1101 (multiplicity 4)

Principal peaks in the range 2θ = 10–80°, low angle first:
2θ/deg, I_rel
27.51, 25
28.71, 33
29.44, 100
31.00, 58
31.44, 33
31.70, 24
35.32, 35
35.96, 53
37.97, 20
40.80, 18
46.65, 17
58.65, 20



The following is a simulated powder diffraction line list of LuP2H4NO7. It was derived from a cell relaxed with PBE, using Cu Kα.
Kinematic intensities with the Lorentz-polarization factor, no thermal factor.

Crystal structure
Cell: 7.8119 10.9957 8.7266 Å, 90.00 107.79 90.00°
Space group P2_1/c (No. 14)
Unique sites:
Lu: 0.2405 0.1019 0.2572 (multiplicity 4)
P: 0.1198 0.1011 0.8211 (multiplicity 4)
P: 0.4274 0.1299 0.6951 (multiplicity 4)
H: 0.0994 0.7130 0.1491 (multiplicity 4)
H: 0.1136 0.7097 0.9610 (multiplicity 4)
H: 0.1713 0.5876 0.0800 (multiplicity 4)
H: 0.3089 0.7100 0.1258 (multiplicity 4)
N: 0.1757 0.6810 0.0784 (multiplicity 4)
O: 0.0112 0.5050 0.7740 (multiplicity 4)
O: 0.0673 0.2291 0.7465 (multiplicity 4)
O: 0.1435 0.1005 0.9995 (multiplicity 4)
O: 0.3129 0.0642 0.8003 (multiplicity 4)
O: 0.3180 0.1144 0.5189 (multiplicity 4)
O: 0.3954 0.5609 0.7602 (multiplicity 4)
O: 0.4537 0.2368 0.2516 (multiplicity 4)

Principal peaks in the range 2θ = 10–80°, low angle first:
2θ/deg, I_rel
14.38, 100
15.59, 61
19.36, 16
20.00, 15
21.39, 64
27.12, 50
28.23, 56
28.80, 21
31.90, 16
35.43, 16
37.08, 19
49.72, 18



The following is a simulated powder diffraction line list of La2Ni17. It was derived from a cell relaxed with PBE, using Cu Kα.
Kinematic intensities with the Lorentz-polarization factor, no thermal factor.

Crystal structure
Cell: 8.4055 8.4055 12.1817 Å, 90.00 90.00 120.00°
Space group R-3m (No. 166, hexagonal axes)
Unique sites:
La: 0.0000 0.0000 0.1592 (multiplicity 6)
Ni: 0.0000 0.0000 0.4019 (multiplicity 6)
Ni: 0.0000 0.2876 0.5000 (multiplicity 18)
Ni: 0.0000 0.5000 0.0000 (multiplicity 9)
Ni: 0.0043 0.5022 0.3447 (multiplicity 18)

Principal peaks in the range 2θ = 10–80°, low angle first:
2θ/deg, I_rel
30.61, 31
37.05, 39
38.55, 29
43.04, 67
43.45, 100
44.37, 16
44.63, 35
44.76, 17
48.80, 32
62.82, 15
63.74, 17
78.90, 17